Computed powder diffractogram of MgTiNiP3O12 for λ = 1.5418 Å (Cu Kα), from DFT lattice parameters and positions (PBE+U).

Structural model:
Cell lengths 8.490, 8.490, 8.490 Å; angles 61.04, 61.04, 61.04 degrees
Atoms (fractional coordinates):
Mg  0.000  0.000  0.000
Mg  0.500  0.500  0.500
Ti  0.147  0.147  0.147
Ti  0.647  0.647  0.647
Ni  0.361  0.361  0.361
Ni  0.861  0.861  0.861
P  0.049  0.755  0.458
P  0.255  0.549  0.958
P  0.458  0.049  0.755
P  0.549  0.958  0.255
P  0.755  0.458  0.049
P  0.958  0.255  0.549
O  0.007  0.190  0.383
O  0.014  0.820  0.613
O  0.057  0.915  0.260
O  0.096  0.745  0.943
O  0.113  0.320  0.514
O  0.190  0.383  0.007
O  0.245  0.596  0.443
O  0.260  0.057  0.915
O  0.320  0.514  0.113
O  0.383  0.007  0.190
O  0.415  0.557  0.760
O  0.443  0.245  0.596
O  0.507  0.883  0.690
O  0.514  0.113  0.320
O  0.557  0.760  0.415
O  0.596  0.443  0.245
O  0.613  0.014  0.820
O  0.690  0.507  0.883
O  0.745  0.943  0.096
O  0.760  0.415  0.557
O  0.820  0.613  0.014
O  0.883  0.690  0.507
O  0.915  0.260  0.057
O  0.943  0.096  0.745

The 10 most intense peaks (2θ from 10° to 90°), in order of rising 2θ:
d (Å)  2θ (°)  I/Imax
4.311  20.60  48
4.244  20.93  27
3.653  24.37  100
3.024  29.54  20
2.796  32.01  16
2.688  33.33  44
2.489  36.08  26
1.904  47.78  22
1.826  49.94  17
1.629  56.47  16